Starting from a cell relaxed with GGA+U, the powder diffractogram of VP4O12 was simulated for CuKα.

Cell and atoms:
```
data_VP4O12
_space_group_name_H-M_alt 'P 1 21 1'
_space_group_IT_number 4
_cell_length_a 5.2042
_cell_length_b 13.6656
_cell_length_c 7.3940
_cell_angle_alpha 90.00
_cell_angle_beta 101.13
_cell_angle_gamma 90.00
loop_
_space_group_symop_operation_xyz
'x,y,z'
'-x,y+1/2,-z'
loop_
_atom_site_label
_atom_site_fract_x
_atom_site_fract_y
_atom_site_fract_z
V1 0.0034 0.0000 0.0028
P1 0.2807 0.5933 0.3763
P2 0.3743 0.9475 0.4010
P3 0.4768 0.3627 0.9331
P4 0.4825 0.1388 0.9371
O1 0.1295 0.6784 0.4141
O2 0.1355 0.5111 0.2489
O3 0.1447 0.9900 0.2566
O4 0.2108 0.3792 0.9804
O5 0.2176 0.1215 0.9852
O6 0.2903 0.5828 0.9504
O7 0.2983 0.9209 0.9588
O8 0.3196 0.8990 0.5648
O9 0.4274 0.5401 0.5593
O10 0.4453 0.7513 0.0310
O11 0.4634 0.3779 0.7180
O12 0.4713 0.1206 0.7234
```

Main lines, sorted by position (2θ from 15° to 90°):
| d [Å] | Position (°2θ) | I/Imax | (hkl) |
| --- | --- | --- | --- |
| 5.106 | 17.4 | 372 | 1 0 0 |
| 3.825 | 23.3 | 1000 | 1 2 -1 |
| 3.698 | 24.1 | 341 | 1 1 1 |
| 3.627 | 24.5 | 489 | 0 0 2 |
| 2.839 | 31.5 | 504 | 1 4 0 |
| 2.746 | 32.6 | 281 | 1 4 -1 |